The following is a computed powder diffraction line list of Li4V3SiO10. It was derived from a GGA+U-relaxed structure, using a wavelength of 1.5418 Å.

Crystal structure
Lattice parameters (Å, degrees): 5.1086 6.0623 8.3072 90.53 107.77 90.20
Space group P1 (No. 1)
Asymmetric unit:
Li (0.0000, 0.0000, 0.0000) (multiplicity 1)
Li (0.1070, 0.6954, 0.2224) (multiplicity 1)
Li (0.4973, 0.6806, 0.9890) (multiplicity 1)
Li (0.6118, 0.0039, 0.2092) (multiplicity 1)
V (0.4000, 0.1676, 0.7987) (multiplicity 1)
V (0.6868, 0.5041, 0.3843) (multiplicity 1)
V (0.9126, 0.5030, 0.8191) (multiplicity 1)
Si (0.1870, 0.1888, 0.3744) (multiplicity 1)
O (0.0111, 0.0074, 0.2417) (multiplicity 1)
O (0.0276, 0.4330, 0.3516) (multiplicity 1)
O (0.2461, 0.1114, 0.5726) (multiplicity 1)
O (0.2792, 0.4472, 0.8455) (multiplicity 1)
O (0.3682, 0.9912, 0.9555) (multiplicity 1)
O (0.4878, 0.2337, 0.3402) (multiplicity 1)
O (0.5061, 0.6846, 0.2309) (multiplicity 1)
O (0.7443, 0.5872, 0.6012) (multiplicity 1)
O (0.7764, 0.2253, 0.8484) (multiplicity 1)
O (0.8783, 0.6782, 0.9778) (multiplicity 1)

Principal peaks in the range 2θ = 10–90°, low angle first:
| Position (°2θ) | I (rel.) | h k l |
| --- | --- | --- |
| 14.6 | 48 | 0 1 0 |
| 22.5 | 67 | 0 0 2 |
| 23.4 | 100 | -1 1 1 |
| 23.5 | 32 | 1 1 0 |
| 26.8 | 24 | 0 1 -2 |
| 35.1 | 33 | 2 0 -1 |